(1)
For Hg2I3, a crystal structure in OQMD, relaxed with GGA-PBE gives the calculated PXRD pattern in this record (Cu Kα X-rays).

Principal peaks in the range 5° ≤ 2θ ≤ 70°, in order of rising 2θ:
2theta	I/Imax
15.46	314
20.96	338
22.86	183
25.98	658
31.21	186
33.75	1000
39.04	178
40.15	582
44.02	156
53.43	271
66.14	209
68.90	290

Structure:
a = 8.5457 Å, b = 8.5457 Å, c = 8.5457 Å
α = 54.16°, β = 54.16°, γ = 54.16°
Atoms (fractional coordinates):
Hg  0.1572  0.1572  0.1572
Hg  0.3428  0.3428  0.3428
Hg  0.6572  0.6572  0.6572
Hg  0.8428  0.8428  0.8428
I  0.0704  0.7500  0.4296
I  0.2500  0.5704  0.9296
I  0.4296  0.0704  0.7500
I  0.5704  0.9296  0.2500
I  0.7500  0.4296  0.0704
I  0.9296  0.2500  0.5704

---

(2)
For LiNbCuBi, a crystal structure in OQMD, relaxed with GGA-PBE gives the calculated PXRD pattern in this record (Cu Kα X-rays).

Principal peaks in the range 5° ≤ 2θ ≤ 70°, in order of rising 2θ:
2theta	I/Imax
23.23	692
26.88	17
38.38	1000
45.35	370
47.48	7
55.41	172
60.88	158
62.63	11
69.41	348

Structure:
a = 4.6903 Å, b = 4.6903 Å, c = 4.6903 Å
α = 60.00°, β = 60.00°, γ = 60.00°
Atoms (fractional coordinates):
Li  0.0000  0.0000  0.0000
Nb  0.7500  0.7500  0.7500
Cu  0.2500  0.2500  0.2500
Bi  0.5000  0.5000  0.5000

---

(3)
For Tb2Co7B3, a crystal structure in OQMD, relaxed with GGA-PBE gives the calculated PXRD pattern in this record (Cu Kα X-rays).

Principal peaks in the range 5° ≤ 2θ ≤ 70°, in order of rising 2θ:
2theta	I/Imax
20.40	273
34.85	1000
35.72	257
40.97	89
41.48	918
41.73	59
45.95	810
57.77	82
61.92	54
63.61	346
64.17	47
69.80	91

Structure:
a = 5.0277 Å, b = 5.0277 Å, c = 12.7678 Å
α = 90.00°, β = 90.00°, γ = 120.00°
Atoms (fractional coordinates):
Tb  0.0000  0.0000  0.0000
Tb  0.0000  0.0000  0.2392
Tb  0.0000  0.0000  0.5000
Tb  0.0000  0.0000  0.7608
Co  0.0000  0.5000  0.1158
Co  0.0000  0.5000  0.3452
Co  0.0000  0.5000  0.6548
Co  0.0000  0.5000  0.8842
Co  0.3333  0.6667  0.5000
Co  0.5000  0.0000  0.1158
Co  0.5000  0.0000  0.3452
Co  0.5000  0.0000  0.6548
Co  0.5000  0.0000  0.8842
Co  0.5000  0.5000  0.1158
Co  0.5000  0.5000  0.3452
Co  0.5000  0.5000  0.6548
Co  0.5000  0.5000  0.8842
Co  0.6667  0.3333  0.5000
B  0.3333  0.6667  0.0000
B  0.3333  0.6667  0.2315
B  0.3333  0.6667  0.7685
B  0.6667  0.3333  0.0000
B  0.6667  0.3333  0.2315
B  0.6667  0.3333  0.7685

---

(4)
For NaCuTeIrS2, a crystal structure in OQMD, relaxed with GGA-PBE gives the calculated PXRD pattern in this record (Cu Kα X-rays).

Principal peaks in the range 5° ≤ 2θ ≤ 70°, in order of rising 2θ:
2theta	I/Imax
12.64	1000
25.45	173
31.46	135
32.65	239
36.44	301
36.88	179
39.14	125
42.96	125
44.97	234
45.34	105
50.50	82
55.80	142

Structure:
a = 7.2321 Å, b = 7.2321 Å, c = 9.7490 Å
α = 90.00°, β = 90.00°, γ = 151.06°
Atoms (fractional coordinates):
Na  0.2215  0.7785  0.7500
Na  0.7785  0.2215  0.2500
Cu  0.4488  0.5512  0.2500
Cu  0.5512  0.4488  0.7500
Te  0.0876  0.9124  0.2500
Te  0.9124  0.0876  0.7500
Ir  0.0000  0.0000  0.0000
Ir  0.0000  0.0000  0.5000
S  0.3872  0.6128  0.0404
S  0.3872  0.6128  0.4596
S  0.6128  0.3872  0.5404
S  0.6128  0.3872  0.9596

---

(5)
For Zr3Sb, a crystal structure in OQMD, relaxed with GGA-PBE gives the calculated PXRD pattern in this record (Cu Kα X-rays).

Principal peaks in the range 5° ≤ 2θ ≤ 70°, in order of rising 2θ:
2theta	I/Imax
23.39	159
32.38	747
33.32	958
35.20	608
36.11	1000
38.64	543
40.33	710
42.72	207
46.44	152
66.11	154
66.64	251
67.79	187

Structure:
a = 8.5477 Å, b = 8.5477 Å, c = 8.5477 Å
α = 96.41°, β = 96.41°, γ = 140.95°
Atoms (fractional coordinates):
Zr  0.0413  0.3548  0.4750
Zr  0.0832  0.2018  0.8332
Zr  0.2024  0.6715  0.9016
Zr  0.3285  0.2301  0.5309
Zr  0.3686  0.2500  0.1668
Zr  0.4336  0.9587  0.3135
Zr  0.6452  0.1202  0.6865
Zr  0.6991  0.7976  0.4691
Zr  0.7500  0.9168  0.1186
Zr  0.7699  0.3009  0.0984
Zr  0.7982  0.6314  0.8814
Zr  0.8798  0.5664  0.5250
Sb  0.2424  0.4875  0.1765
Sb  0.3109  0.0659  0.8235
Sb  0.5125  0.6891  0.7550
Sb  0.9341  0.7576  0.2450

---

(6)
For BaMg2CdPt, a crystal structure in OQMD, relaxed with GGA-PBE gives the calculated PXRD pattern in this record (Cu Kα X-rays).

Principal peaks in the range 5° ≤ 2θ ≤ 70°, in order of rising 2θ:
2theta	I/Imax
13.88	357
20.76	294
27.79	891
28.76	1000
31.19	493
39.70	552
39.84	210
40.55	741
49.76	438
57.40	186
58.05	514
64.95	177

Structure:
a = 7.1422 Å, b = 7.1422 Å, c = 7.1422 Å
α = 142.93°, β = 142.93°, γ = 53.43°
Atoms (fractional coordinates):
Ba  0.0000  0.0000  0.0000
Mg  0.2727  0.7727  0.5000
Mg  0.7727  0.2727  0.5000
Cd  0.6155  0.6155  0.0000
Pt  0.3887  0.3887  0.0000

---

(7)
For Pr3Nd3NiTe2, a crystal structure in OQMD, relaxed with GGA-PBE gives the calculated PXRD pattern in this record (Cu Kα X-rays).

Principal peaks in the range 5° ≤ 2θ ≤ 70°, in order of rising 2θ:
2theta	I/Imax
30.23	1000
31.31	842
32.52	874
35.64	288
38.67	310
43.16	111
45.12	219
49.01	234
55.94	326
57.92	323
58.77	133
60.70	176

Structure:
a = 8.7273 Å, b = 8.7273 Å, c = 4.0193 Å
α = 90.00°, β = 90.00°, γ = 120.00°
Atoms (fractional coordinates):
Pr  0.0000  0.4139  0.0000
Pr  0.4139  0.0000  0.0000
Pr  0.5861  0.5861  0.0000
Nd  0.0000  0.7607  0.5000
Nd  0.2393  0.2393  0.5000
Nd  0.7607  0.0000  0.5000
Ni  0.0000  0.0000  0.0000
Te  0.3333  0.6667  0.5000
Te  0.6667  0.3333  0.5000

---

(8)
For Li4TeOsO6, a crystal structure in OQMD, relaxed with GGA-PBE gives the calculated PXRD pattern in this record (Cu Kα X-rays).

Principal peaks in the range 5° ≤ 2θ ≤ 70°, in order of rising 2θ:
2theta	I/Imax
18.71	1000
19.15	263
20.14	462
22.94	336
26.89	224
34.10	624
35.86	331
42.23	469
42.36	233
46.64	163
59.89	234
63.29	151

Structure:
a = 5.3514 Å, b = 5.3514 Å, c = 5.0605 Å
α = 100.04°, β = 100.04°, γ = 120.05°
Atoms (fractional coordinates):
Li  0.0000  0.0000  0.0000
Li  0.3607  0.6393  0.0000
Li  0.6781  0.3219  0.0000
Li  0.8441  0.1559  0.5000
Te  0.1785  0.8215  0.5000
Os  0.5119  0.4881  0.5000
O  0.1112  0.4209  0.2615
O  0.2676  0.2331  0.7345
O  0.4232  0.0793  0.2660
O  0.5791  0.8888  0.7385
O  0.7669  0.7324  0.2655
O  0.9207  0.5768  0.7340

---

(9)
For Nd4BI2Br3, a crystal structure in OQMD, relaxed with GGA-PBE gives the calculated PXRD pattern in this record (Cu Kα X-rays).

Principal peaks in the range 5° ≤ 2θ ≤ 70°, in order of rising 2θ:
2theta	I/Imax
10.61	365
26.87	137
28.57	470
29.28	139
30.17	1000
31.85	111
32.35	326
41.94	324
42.13	271
42.31	153
44.06	190
53.36	161

Structure:
a = 9.8175 Å, b = 9.8175 Å, c = 8.5448 Å
α = 102.23°, β = 102.23°, γ = 24.17°
Atoms (fractional coordinates):
Nd  0.9995  0.9995  0.2121
Nd  0.0005  0.0005  0.7879
Nd  0.3598  0.3598  0.9232
Nd  0.6402  0.6402  0.0768
B  0.5000  0.5000  0.0000
I  0.1726  0.1726  0.8130
I  0.8274  0.8274  0.1870
Br  0.1592  0.1592  0.3344
Br  0.5000  0.5000  0.5000
Br  0.8408  0.8408  0.6656

---

(10)
For Er2Fe3B4Ir2, a crystal structure in OQMD, relaxed with GGA-PBE gives the calculated PXRD pattern in this record (Cu Kα X-rays).

Principal peaks in the range 5° ≤ 2θ ≤ 70°, in order of rising 2θ:
2theta	I/Imax
15.97	297
20.90	208
25.32	313
31.02	589
37.42	125
37.99	727
39.17	1000
39.64	470
42.10	322
47.28	432
63.35	319
64.67	183

Structure:
a = 7.1741 Å, b = 6.1562 Å, c = 5.2715 Å
α = 77.35°, β = 56.85°, γ = 45.80°
Atoms (fractional coordinates):
Er  0.1454  0.1454  0.8546
Er  0.8546  0.8546  0.1454
Fe  0.2500  0.2500  0.2500
Fe  0.5000  0.5000  0.5000
Fe  0.7500  0.7500  0.7500
B  0.2065  0.5131  0.4869
B  0.4869  0.7935  0.2065
B  0.5131  0.2065  0.7935
B  0.7935  0.4869  0.5131
Ir  0.0000  0.0000  0.5000
Ir  0.5000  0.5000  0.0000

---

(11)
For CoNi5, a crystal structure in OQMD, relaxed with GGA-PBE gives the calculated PXRD pattern in this record (Cu Kα X-rays).

Principal peaks in the range 5° ≤ 2θ ≤ 70°, in order of rising 2θ:
2theta	I/Imax
23.15	50
37.73	69
39.23	277
42.95	541
46.04	180
46.46	1000
47.31	661
48.52	133
48.92	200
49.37	194
52.14	52
55.56	54

Structure:
a = 4.5927 Å, b = 4.5927 Å, c = 14.8945 Å
α = 90.00°, β = 90.00°, γ = 120.00°
Atoms (fractional coordinates):
Co  0.3333  0.6667  0.1268
Co  0.3333  0.6667  0.3732
Co  0.6667  0.3333  0.6268
Co  0.6667  0.3333  0.8732
Ni  0.0000  0.0000  0.0923
Ni  0.0000  0.0000  0.4077
Ni  0.0000  0.0000  0.5923
Ni  0.0000  0.0000  0.9077
Ni  0.0000  0.5000  0.0000
Ni  0.0000  0.5000  0.5000
Ni  0.1625  0.3250  0.2500
Ni  0.1625  0.8375  0.2500
Ni  0.3250  0.1625  0.7500
Ni  0.3333  0.6667  0.6532
Ni  0.3333  0.6667  0.8468
Ni  0.5000  0.0000  0.0000
Ni  0.5000  0.0000  0.5000
Ni  0.5000  0.5000  0.0000
Ni  0.5000  0.5000  0.5000
Ni  0.6667  0.3333  0.1532
Ni  0.6667  0.3333  0.3468
Ni  0.6750  0.8375  0.2500
Ni  0.8375  0.1625  0.7500
Ni  0.8375  0.6750  0.7500

---

(12)
For Ta6Al7, a crystal structure in OQMD, relaxed with GGA-PBE gives the calculated PXRD pattern in this record (Cu Kα X-rays).

Principal peaks in the range 5° ≤ 2θ ≤ 70°, in order of rising 2θ:
2theta	I/Imax
9.55	254
19.18	246
20.20	322
23.75	189
34.91	1000
38.20	599
40.14	526
41.11	425
52.71	163
62.61	188
64.79	255
66.83	201

Structure:
a = 9.7205 Å, b = 9.7205 Å, c = 9.7205 Å
α = 30.66°, β = 30.66°, γ = 30.66°
Atoms (fractional coordinates):
Ta  0.0463  0.0463  0.0463
Ta  0.1480  0.1480  0.1480
Ta  0.3342  0.3342  0.3342
Ta  0.6658  0.6658  0.6658
Ta  0.8520  0.8520  0.8520
Ta  0.9537  0.9537  0.9537
Al  0.0845  0.5906  0.5906
Al  0.4094  0.4094  0.9155
Al  0.4094  0.9155  0.4094
Al  0.5000  0.5000  0.5000
Al  0.5906  0.0845  0.5906
Al  0.5906  0.5906  0.0845
Al  0.9155  0.4094  0.4094

---

(13)
For Zr3UI, a crystal structure in OQMD, relaxed with GGA-PBE gives the calculated PXRD pattern in this record (Cu Kα X-rays).

Principal peaks in the range 5° ≤ 2θ ≤ 70°, in order of rising 2θ:
2theta	I/Imax
18.47	483
30.90	470
31.72	798
33.21	212
33.98	924
36.96	271
37.44	1000
44.88	419
49.87	230
57.97	246
65.81	290
69.71	228

Structure:
a = 7.9768 Å, b = 7.9768 Å, c = 6.2781 Å
α = 90.00°, β = 90.00°, γ = 138.59°
Atoms (fractional coordinates):
Zr  0.1154  0.8846  0.7500
Zr  0.2918  0.7082  0.0049
Zr  0.2918  0.7082  0.4951
Zr  0.7082  0.2918  0.5049
Zr  0.7082  0.2918  0.9951
Zr  0.8846  0.1154  0.2500
U  0.1082  0.8918  0.2500
U  0.8918  0.1082  0.7500
I  0.4616  0.5384  0.7500
I  0.5384  0.4616  0.2500